1.
Structure and simulated powder diffraction line list of La4SeSBr2 (the PBE geometry in Alexandria; Cu Kα X-rays).
Kinematic intensities with the Lorentz-polarization factor, no thermal factor.

Peak list (10 most intense, 2θ = 5–70°, in order of rising 2θ)
index, two_theta, d (Å), Rel. int.
1 1 -1, 25.55, 3.486, 10
1 1 1, 29.38, 3.040, 100
1 1 -3, 41.40, 2.181, 23
2 0 2, 41.56, 2.173, 11
0 2 0, 42.50, 2.127, 13
3 1 -1, 42.65, 2.120, 24
2 2 -2, 52.50, 1.743, 13
2 2 2, 60.95, 1.520, 10
0 2 4, 68.18, 1.375, 9
4 2 0, 69.98, 1.344, 10

Atomic structure:
```
data_La4SeSBr2
_chemical_formula_sum 'La4 Se1 S1 Br2'
_space_group_name_H-M_alt 'P 1 2/m 1'
_space_group_IT_number 10
_cell_length_a 7.3343
_cell_length_b 4.2544
_cell_length_c 7.6234
_cell_angle_alpha 90.00
_cell_angle_beta 108.91
_cell_angle_gamma 90.00
loop_
_space_group_symop_operation_xyz
'x,y,z'
'-x,-y,-z'
'-x,y,-z'
'x,-y,z'
loop_
_atom_site_label
_atom_site_fract_x
_atom_site_fract_y
_atom_site_fract_z
_atom_site_occupancy
La1 0.2268 0.0000 0.2166 1
La2 0.2458 0.5000 0.7763 1
Se1 0.5000 0.0000 0.0000 1
S1 0.0000 0.5000 0.0000 1
Br1 0.0000 0.0000 0.5000 1
Br2 0.5000 0.5000 0.5000 1
```


2.
Structure and simulated powder diffraction line list of Ti4Zn5Cu2 (the PBE geometry in Alexandria; Cu Kα X-rays).
Kinematic intensities with the Lorentz-polarization factor, no thermal factor.

Peak list (10 most intense, 2θ = 5–70°, in order of rising 2θ)
index, two_theta, d (Å), Rel. int.
0 1 0, 33.92, 2.643, 16
1 1 1, 38.07, 2.364, 11
0 1 2, 39.49, 2.282, 16
3 0 -1, 40.10, 2.249, 42
2 0 3, 41.22, 2.190, 100
1 1 2, 42.17, 2.143, 17
2 1 0, 43.25, 2.092, 12
2 1 1, 44.88, 2.019, 15
2 1 -2, 47.10, 1.930, 11
2 1 3, 54.39, 1.687, 15

Atomic structure:
```
data_Ti4Zn5Cu2
_chemical_formula_sum 'Ti4 Zn5 Cu2'
_space_group_name_H-M_alt 'P 1 2/m 1'
_space_group_IT_number 10
_cell_length_a 6.8596
_cell_length_b 2.6428
_cell_length_c 9.0681
_cell_angle_alpha 90.00
_cell_angle_beta 93.91
_cell_angle_gamma 90.00
loop_
_space_group_symop_operation_xyz
'x,y,z'
'-x,-y,-z'
'-x,y,-z'
'x,-y,z'
loop_
_atom_site_label
_atom_site_fract_x
_atom_site_fract_y
_atom_site_fract_z
_atom_site_occupancy
Ti1 0.1462 0.0000 0.3893 1
Ti2 0.2821 0.0000 0.9498 1
Zn1 0.2064 0.5000 0.6700 1
Zn2 0.4272 0.5000 0.2111 1
Zn3 0.5000 0.5000 0.5000 1
Cu1 0.0547 0.5000 0.1353 1
```


What did the second record say?
Structure and simulated powder diffraction line list of Ti4Zn5Cu2 (the PBE geometry in Alexandria; Cu Kα X-rays).
Kinematic intensities with the Lorentz-polarization factor, no thermal factor.

Peak list (10 most intense, 2θ = 5–70°, in order of rising 2θ)
index, two_theta, d (Å), Rel. int.
0 1 0, 33.92, 2.643, 16
1 1 1, 38.07, 2.364, 11
0 1 2, 39.49, 2.282, 16
3 0 -1, 40.10, 2.249, 42
2 0 3, 41.22, 2.190, 100
1 1 2, 42.17, 2.143, 17
2 1 0, 43.25, 2.092, 12
2 1 1, 44.88, 2.019, 15
2 1 -2, 47.10, 1.930, 11
2 1 3, 54.39, 1.687, 15

Atomic structure:
```
data_Ti4Zn5Cu2
_chemical_formula_sum 'Ti4 Zn5 Cu2'
_space_group_name_H-M_alt 'P 1 2/m 1'
_space_group_IT_number 10
_cell_length_a 6.8596
_cell_length_b 2.6428
_cell_length_c 9.0681
_cell_angle_alpha 90.00
_cell_angle_beta 93.91
_cell_angle_gamma 90.00
loop_
_space_group_symop_operation_xyz
'x,y,z'
'-x,-y,-z'
'-x,y,-z'
'x,-y,z'
loop_
_atom_site_label
_atom_site_fract_x
_atom_site_fract_y
_atom_site_fract_z
_atom_site_occupancy
Ti1 0.1462 0.0000 0.3893 1
Ti2 0.2821 0.0000 0.9498 1
Zn1 0.2064 0.5000 0.6700 1
Zn2 0.4272 0.5000 0.2111 1
Zn3 0.5000 0.5000 0.5000 1
Cu1 0.0547 0.5000 0.1353 1
```


Copy entry 1 word for word.
Structure and simulated powder diffraction line list of La4SeSBr2 (the PBE geometry in Alexandria; Cu Kα X-rays).
Kinematic intensities with the Lorentz-polarization factor, no thermal factor.

Peak list (10 most intense, 2θ = 5–70°, in order of rising 2θ)
index, two_theta, d (Å), Rel. int.
1 1 -1, 25.55, 3.486, 10
1 1 1, 29.38, 3.040, 100
1 1 -3, 41.40, 2.181, 23
2 0 2, 41.56, 2.173, 11
0 2 0, 42.50, 2.127, 13
3 1 -1, 42.65, 2.120, 24
2 2 -2, 52.50, 1.743, 13
2 2 2, 60.95, 1.520, 10
0 2 4, 68.18, 1.375, 9
4 2 0, 69.98, 1.344, 10

Atomic structure:
```
data_La4SeSBr2
_chemical_formula_sum 'La4 Se1 S1 Br2'
_space_group_name_H-M_alt 'P 1 2/m 1'
_space_group_IT_number 10
_cell_length_a 7.3343
_cell_length_b 4.2544
_cell_length_c 7.6234
_cell_angle_alpha 90.00
_cell_angle_beta 108.91
_cell_angle_gamma 90.00
loop_
_space_group_symop_operation_xyz
'x,y,z'
'-x,-y,-z'
'-x,y,-z'
'x,-y,z'
loop_
_atom_site_label
_atom_site_fract_x
_atom_site_fract_y
_atom_site_fract_z
_atom_site_occupancy
La1 0.2268 0.0000 0.2166 1
La2 0.2458 0.5000 0.7763 1
Se1 0.5000 0.0000 0.0000 1
S1 0.0000 0.5000 0.0000 1
Br1 0.0000 0.0000 0.5000 1
Br2 0.5000 0.5000 0.5000 1
```